Starting from a structure optimized by DFT (GGA-PBE), the X-ray diffraction stick pattern of GaTe2IrPb was simulated for copper Kα.

Main lines, in order of rising 2θ (2θ from 5° to 70°):
h k l  Position (°2θ)  d/Å  intensity
1 1 0  23.03  3.862  14
1 1 1  30.02  2.977  100
2 0 0  32.79  2.731  63
0 0 2  38.53  2.336  20
2 2 0  47.06  1.931  23
2 0 2  51.47  1.775  36
3 1 1  56.83  1.620  34
2 2 2  62.38  1.489  20
1 1 3  64.51  1.445  12
4 0 0  68.74  1.366  7

Unit cell a=5.4621 b=5.4621 c=4.6729 alpha=90.00 beta=90.00 gamma=90.00
Space group P4/mmm (No. 123)
Inequivalent atoms, fractional coordinates:
Ga 0.0000 0.0000 0.0000 [1 per cell]
Te 0.0000 0.5000 0.0000 [2 per cell]
Ir 0.0000 0.0000 0.5000 [1 per cell]
Pb 0.5000 0.5000 0.5000 [1 per cell]